No. 1
For Y6TmNi2Te2, a structure optimized by DFT (GGA-PBE) gives the calculated powder diffraction line list in this record (Cu Kα (λ = 1.5418 Å)).
Intensities are scaled so that the largest is 100.

Largest 10 diffraction maxima, by angle, 2θ from 10° to 90°:
2θ/deg  d [Å]  intensity
28.73  3.108  20
29.97  2.981  19
30.21  2.959  50
32.77  2.733  65
33.88  2.646  100
34.34  2.611  57
36.41  2.468  21
38.24  2.354  25
47.02  1.933  27
58.50  1.578  29

Structural model:
```
data_Y6TmNi2Te2
_chemical_formula_sum 'Y6 Tm1 Ni2 Te2'
_space_group_name_H-M_alt 'P 1'
_space_group_IT_number 1
_space_group_name_Hall 'P 1'
_cell_length_a 9.3982
_cell_length_b 9.3982
_cell_length_c 9.3982
_cell_angle_alpha 156.27
_cell_angle_beta 66.94
_cell_angle_gamma 118.44
loop_
_atom_site_label
_atom_site_fract_x
_atom_site_fract_y
_atom_site_fract_z
Y1 0.1313 0.0000 0.1313
Y2 0.2038 0.8500 0.3538
Y3 0.4963 0.8500 0.6462
Y4 0.5171 0.2014 0.3156
Y5 0.8687 0.0000 0.8687
Y6 0.8858 0.2014 0.6844
Tm1 0.5820 0.5820 0.0000
Ni1 0.2714 0.5099 0.7615
Ni2 0.7484 0.5099 0.2385
Te1 0.2462 0.2462 0.0000
Te2 0.8461 0.3461 0.5000
```

---

No. 2
For BaAg8P4, a structure optimized by DFT (GGA-PBE) gives the calculated powder diffraction line list in this record (Cu Kα (λ = 1.5418 Å)).
Intensities are scaled so that the largest is 100.

Largest 10 diffraction maxima, by angle, 2θ from 10° to 90°:
2θ/deg  d [Å]  intensity
11.16  7.927  42
25.12  3.545  35
27.28  3.269  17
31.69  2.824  100
35.60  2.522  24
39.17  2.300  70
41.91  2.156  33
45.60  1.989  40
47.28  1.923  29
65.00  1.435  21

Structural model:
```
data_BaAg8P4
_chemical_formula_sum 'Ba1 Ag8 P4'
_space_group_name_H-M_alt 'P 1'
_space_group_IT_number 1
_space_group_name_Hall 'P 1'
_cell_length_a 8.2150
_cell_length_b 8.2150
_cell_length_c 8.2150
_cell_angle_alpha 93.95
_cell_angle_beta 93.95
_cell_angle_gamma 149.57
loop_
_atom_site_label
_atom_site_fract_x
_atom_site_fract_y
_atom_site_fract_z
Ba1 0.0000 0.0000 0.0000
Ag1 0.0187 0.6395 0.6582
Ag2 0.2358 0.3351 0.5710
Ag3 0.3351 0.7642 0.0993
Ag4 0.3605 0.0187 0.3792
Ag5 0.6395 0.9813 0.6208
Ag6 0.6649 0.2358 0.9007
Ag7 0.7642 0.6649 0.4290
Ag8 0.9813 0.3605 0.3418
P1 0.2408 0.5659 0.8067
P2 0.4341 0.2408 0.6748
P3 0.5659 0.7592 0.3252
P4 0.7592 0.4341 0.1933
```

---

No. 3
For W2Se3, a structure optimized by DFT (GGA-PBE) gives the calculated powder diffraction line list in this record (Cu Kα (λ = 1.5418 Å)).
Intensities are scaled so that the largest is 100.

Largest 10 diffraction maxima, by angle, 2θ from 10° to 90°:
2θ/deg  d [Å]  intensity
15.22  5.821  100
19.95  4.450  39
33.59  2.668  37
38.48  2.340  58
38.79  2.322  38
38.95  2.312  33
40.72  2.216  92
42.48  2.128  46
43.18  2.095  31
50.42  1.810  39

Structural model:
```
data_W2Se3
_chemical_formula_sum 'W4 Se6'
_space_group_name_H-M_alt 'P 1'
_space_group_IT_number 1
_space_group_name_Hall 'P 1'
_cell_length_a 6.4667
_cell_length_b 3.3330
_cell_length_c 9.1587
_cell_angle_alpha 90.00
_cell_angle_beta 103.64
_cell_angle_gamma 90.00
loop_
_atom_site_label
_atom_site_fract_x
_atom_site_fract_y
_atom_site_fract_z
W1 0.1026 0.2500 0.1153
W2 0.3216 0.2500 0.5066
W3 0.6784 0.7500 0.4934
W4 0.8974 0.7500 0.8847
Se1 0.0267 0.7500 0.3418
Se2 0.2869 0.7500 0.9861
Se3 0.4904 0.7500 0.7040
Se4 0.5096 0.2500 0.2960
Se5 0.7131 0.2500 0.0139
Se6 0.9733 0.2500 0.6582
```